Structure and computed XRD peak list of Er2Au5F21 (a crystal structure in OQMD, relaxed with PBE; Cu Ka).

The 8 most intense peaks (10° ≤ 2θ ≤ 90°), in order of rising 2θ:
2θ (°), d [Å], I/Imax, (hkl)
23.4, 3.806, 43, 1 2 0
24.7, 3.600, 44, 1 -2 0
25.2, 3.535, 45, 2 1 0
25.8, 3.460, 100, 0 1 3
25.9, 3.438, 41, 2 1 1
26.5, 3.367, 36, 2 -1 0
29.3, 3.048, 49, 2 0 -2
29.5, 3.025, 37, 1 -2 2

Cell and atoms:
Lattice parameters (Å, degrees): 7.5742 8.5115 11.2123 87.72 86.62 86.13
Fractional positions:
1 Er 0.1729 0.1858 0.4922
2 Er 0.1930 0.3101 0.0005
3 Er 0.8070 0.6899 0.9995
4 Er 0.8271 0.8142 0.5078
5 Au 0.0657 0.9685 0.1945
6 Au 0.0709 0.5158 0.2880
7 Au 0.3012 0.7255 0.8910
8 Au 0.3391 0.7594 0.6044
9 Au 0.4545 0.7545 0.2639
10 Au 0.5455 0.2455 0.7361
11 Au 0.6609 0.2406 0.3956
12 Au 0.6988 0.2745 0.1090
13 Au 0.9291 0.4842 0.7120
14 Au 0.9343 0.0315 0.8055
15 F 0.0000 0.0000 0.5000
16 F 0.0000 0.5000 0.0000
17 F 0.0046 0.8422 0.0624
18 F 0.0501 0.7190 0.8511
19 F 0.0880 0.4074 0.5822
20 F 0.0924 0.7117 0.5801
21 F 0.1042 0.1263 0.6890
22 F 0.1160 0.3911 0.8091
23 F 0.1519 0.1130 0.3046
24 F 0.2384 0.0564 0.0795
25 F 0.2422 0.4334 0.1648
26 F 0.2470 0.7393 0.3719
27 F 0.2478 0.4206 0.3944
28 F 0.2751 0.9423 0.8381
29 F 0.3092 0.7367 0.1300
30 F 0.3320 0.9651 0.5180
31 F 0.3540 0.2020 0.8536
32 F 0.3576 0.5016 0.9361
33 F 0.3742 0.5534 0.6827
34 F 0.4040 0.2449 0.5942
35 F 0.4292 0.1786 0.3566
36 F 0.4579 0.2380 0.0741
37 F 0.5421 0.7620 0.9259
38 F 0.5708 0.8214 0.6434
39 F 0.5960 0.7551 0.4058
40 F 0.6258 0.4466 0.3173
41 F 0.6424 0.4984 0.0639
42 F 0.6460 0.7980 0.1464
43 F 0.6680 0.0349 0.4820
44 F 0.6908 0.2633 0.8700
45 F 0.7249 0.0577 0.1619
46 F 0.7522 0.5794 0.6056
47 F 0.7530 0.2607 0.6281
48 F 0.7578 0.5666 0.8352
49 F 0.7616 0.9436 0.9205
50 F 0.8481 0.8870 0.6954
51 F 0.8840 0.6089 0.1909
52 F 0.8958 0.8737 0.3110
53 F 0.9076 0.2883 0.4199
54 F 0.9120 0.5926 0.4178
55 F 0.9499 0.2810 0.1489
56 F 0.9954 0.1578 0.9376